No. 1
For FeSi16Ge12P3, a structure optimized by DFT (GGA-PBE) gives the theoretical powder X-ray diffraction pattern in this record (Cu Kα X-rays).
Intensities are scaled so that the largest is 100.

Structure:
```
data_FeSi16Ge12P3
_chemical_formula_sum 'Fe1 Si16 Ge12 P3'
_space_group_name_H-M_alt 'P 1'
_space_group_IT_number 1
_space_group_name_Hall 'P 1'
_cell_length_a 6.7714
_cell_length_b 10.3182
_cell_length_c 10.3687
_cell_angle_alpha 81.98
_cell_angle_beta 71.11
_cell_angle_gamma 83.71
loop_
_atom_site_label
_atom_site_type_symbol
_atom_site_fract_x
_atom_site_fract_y
_atom_site_fract_z
_atom_site_occupancy
Fe1 Fe 0.0000 0.0000 0.0000 1
Si1 Si 0.3482 0.9942 0.9230 1
Si2 Si 0.3607 0.1083 0.5446 1
Si3 Si 0.3640 0.6134 0.0444 1
Si4 Si 0.3750 0.4885 0.4223 1
Si5 Si 0.4948 0.5670 0.8161 1
Si6 Si 0.4964 0.6923 0.4347 1
Si7 Si 0.4984 0.9489 0.6892 1
Si8 Si 0.5028 0.0661 0.3094 1
Si9 Si 0.8713 0.9276 0.6093 1
Si10 Si 0.8741 0.0379 0.2197 1
Si11 Si 0.8799 0.4240 0.1075 1
Si12 Si 0.8820 0.1526 0.8702 1
Si13 Si 0.8832 0.8105 0.9837 1
Si14 Si 0.9891 0.8856 0.3761 1
Si15 Si 0.9944 0.7639 0.7549 1
Si16 Si 0.9946 0.6299 0.1162 1
Ge1 Ge 0.0002 0.5051 0.4998 1
Ge2 Ge 0.0031 0.2404 0.2401 1
Ge3 Ge 0.3663 0.8645 0.2927 1
Ge4 Ge 0.3709 0.3601 0.8034 1
Ge5 Ge 0.3721 0.7406 0.6718 1
Ge6 Ge 0.4942 0.3096 0.5625 1
Ge7 Ge 0.5009 0.4403 0.1843 1
Ge8 Ge 0.5051 0.8183 0.0508 1
Ge9 Ge 0.8708 0.5590 0.7369 1
Ge10 Ge 0.8723 0.6789 0.3523 1
Ge11 Ge 0.8835 0.2930 0.4811 1
Ge12 Ge 0.9849 0.3698 0.8758 1
P1 P 0.3852 0.2294 0.1628 1
P2 P 0.5112 0.1812 0.9337 1
P3 P 0.9929 0.1238 0.6312 1
```

The 10 most intense peaks (2θ = 15–90°), most intense first:
two_theta  I_rel
27.91  100
46.49  61
28.01  32
46.30  31
55.07  27
55.21  14
54.91  9
86.13  7
86.01  7
74.91  7

---

No. 2
For GdHfCS, a structure optimized by DFT (GGA-PBE) gives the theoretical powder X-ray diffraction pattern in this record (Cu Kα X-rays).
Intensities are scaled so that the largest is 100.

Structure:
```
data_GdHfCS
_chemical_formula_sum 'Gd2 Hf2 C2 S2'
_space_group_name_H-M_alt 'P 1'
_space_group_IT_number 1
_space_group_name_Hall 'P 1'
_cell_length_a 3.5213
_cell_length_b 3.5213
_cell_length_c 12.7042
_cell_angle_alpha 90.00
_cell_angle_beta 90.00
_cell_angle_gamma 120.00
loop_
_atom_site_label
_atom_site_type_symbol
_atom_site_fract_x
_atom_site_fract_y
_atom_site_fract_z
_atom_site_occupancy
Gd1 Gd 0.3333 0.6667 0.0000 1
Gd2 Gd 0.6667 0.3333 0.5000 1
Hf1 Hf 0.3333 0.6667 0.2947 1
Hf2 Hf 0.6667 0.3333 0.7947 1
C1 C 0.0000 0.0000 0.3810 1
C2 C 0.0000 0.0000 0.8810 1
S1 S 0.3333 0.6667 0.6581 1
S2 S 0.6667 0.3333 0.1581 1
```

The 10 most intense peaks (2θ = 15–90°), most intense first:
two_theta  I_rel
36.30  100
30.14  39
29.29  29
51.94  28
28.10  21
59.25  19
65.01  18
87.77  17
60.09  16
41.03  15

---

No. 3
For YFe2BP, a structure optimized by DFT (GGA-PBE) gives the theoretical powder X-ray diffraction pattern in this record (Cu Kα X-rays).
Intensities are scaled so that the largest is 100.

Structure:
```
data_YFe2BP
_chemical_formula_sum 'Y1 Fe2 B1 P1'
_space_group_name_H-M_alt 'P 1'
_space_group_IT_number 1
_space_group_name_Hall 'P 1'
_cell_length_a 5.4081
_cell_length_b 5.4081
_cell_length_c 5.4081
_cell_angle_alpha 139.79
_cell_angle_beta 139.79
_cell_angle_gamma 58.17
loop_
_atom_site_label
_atom_site_type_symbol
_atom_site_fract_x
_atom_site_fract_y
_atom_site_fract_z
_atom_site_occupancy
Y1 Y 0.0000 0.0000 0.0000 1
Fe1 Fe 0.2609 0.7609 0.5000 1
Fe2 Fe 0.7609 0.2609 0.5000 1
B1 B 0.3535 0.3535 0.0000 1
P1 P 0.6407 0.6407 0.0000 1
```

The 10 most intense peaks (2θ = 15–90°), most intense first:
two_theta  I_rel
39.21  100
37.41  43
49.00  37
25.75  34
69.57  20
38.08  19
85.02  19
63.24  17
63.69  16
71.82  11

---

No. 4
For Cs2MgCdAs2, a structure optimized by DFT (GGA-PBE) gives the theoretical powder X-ray diffraction pattern in this record (Cu Kα X-rays).
Intensities are scaled so that the largest is 100.

Structure:
```
data_Cs2MgCdAs2
_chemical_formula_sum 'Cs2 Mg1 Cd1 As2'
_space_group_name_H-M_alt 'P 1'
_space_group_IT_number 1
_space_group_name_Hall 'P 1'
_cell_length_a 4.6772
_cell_length_b 4.6772
_cell_length_c 8.7791
_cell_angle_alpha 90.00
_cell_angle_beta 90.00
_cell_angle_gamma 90.00
loop_
_atom_site_label
_atom_site_type_symbol
_atom_site_fract_x
_atom_site_fract_y
_atom_site_fract_z
_atom_site_occupancy
Cs1 Cs 0.0000 0.5000 0.1512 1
Cs2 Cs 0.5000 0.0000 0.8488 1
Mg1 Mg 0.5000 0.5000 0.5000 1
Cd1 Cd 0.0000 0.0000 0.5000 1
As1 As 0.0000 0.5000 0.6756 1
As2 As 0.5000 0.0000 0.3244 1
```

The 10 most intense peaks (2θ = 15–90°), most intense first:
two_theta  I_rel
27.87  100
38.49  44
48.19  43
33.94  41
28.85  31
26.96  28
49.88  28
45.66  18
21.53  17
55.58  15

---

No. 5
For Sn10Te10Os, a structure optimized by DFT (GGA-PBE) gives the theoretical powder X-ray diffraction pattern in this record (Cu Kα X-rays).
Intensities are scaled so that the largest is 100.

Structure:
```
data_Sn10Te10Os
_chemical_formula_sum 'Sn20 Te20 Os2'
_space_group_name_H-M_alt 'P 1'
_space_group_IT_number 1
_space_group_name_Hall 'P 1'
_cell_length_a 12.2954
_cell_length_b 12.3361
_cell_length_c 8.7456
_cell_angle_alpha 90.00
_cell_angle_beta 90.00
_cell_angle_gamma 90.00
loop_
_atom_site_label
_atom_site_type_symbol
_atom_site_fract_x
_atom_site_fract_y
_atom_site_fract_z
_atom_site_occupancy
Sn1 Sn 0.0000 0.0000 0.2309 1
Sn2 Sn 0.0000 0.0000 0.7691 1
Sn3 Sn 0.1241 0.3276 0.5000 1
Sn4 Sn 0.1256 0.5813 0.2768 1
Sn5 Sn 0.1256 0.5813 0.7232 1
Sn6 Sn 0.2334 0.3049 0.0000 1
Sn7 Sn 0.2666 0.8049 0.0000 1
Sn8 Sn 0.3744 0.0813 0.2768 1
Sn9 Sn 0.3744 0.0813 0.7232 1
Sn10 Sn 0.3759 0.8276 0.5000 1
Sn11 Sn 0.5000 0.5000 0.2309 1
Sn12 Sn 0.5000 0.5000 0.7691 1
Sn13 Sn 0.6241 0.1724 0.5000 1
Sn14 Sn 0.6256 0.9187 0.2768 1
Sn15 Sn 0.6256 0.9187 0.7232 1
Sn16 Sn 0.7334 0.1951 0.0000 1
Sn17 Sn 0.7666 0.6951 0.0000 1
Sn18 Sn 0.8744 0.4187 0.2768 1
Sn19 Sn 0.8744 0.4187 0.7232 1
Sn20 Sn 0.8759 0.6724 0.5000 1
Te1 Te 0.0011 0.6788 0.0000 1
Te2 Te 0.1375 0.0951 0.5000 1
Te3 Te 0.1756 0.8196 0.3101 1
Te4 Te 0.1756 0.8196 0.6899 1
Te5 Te 0.2037 0.0538 0.0000 1
Te6 Te 0.2963 0.5538 0.0000 1
Te7 Te 0.3244 0.3196 0.3101 1
Te8 Te 0.3244 0.3196 0.6899 1
Te9 Te 0.3625 0.5951 0.5000 1
Te10 Te 0.4989 0.1788 0.0000 1
Te11 Te 0.5011 0.8212 0.0000 1
Te12 Te 0.6375 0.4049 0.5000 1
Te13 Te 0.6756 0.6804 0.3101 1
Te14 Te 0.6756 0.6804 0.6899 1
Te15 Te 0.7037 0.4462 0.0000 1
Te16 Te 0.7963 0.9462 0.0000 1
Te17 Te 0.8244 0.1804 0.3101 1
Te18 Te 0.8244 0.1804 0.6899 1
Te19 Te 0.8625 0.9049 0.5000 1
Te20 Te 0.9989 0.3212 0.0000 1
Os1 Os 0.0000 0.5000 0.5000 1
Os2 Os 0.5000 0.0000 0.5000 1
```

The 10 most intense peaks (2θ = 15–90°), most intense first:
two_theta  I_rel
26.03  100
29.87  86
30.75  70
42.72  51
30.83  45
41.29  33
33.27  32
37.17  31
25.00  30
22.80  29

---

No. 6
For NdGd2Cu4Ge4, a structure optimized by DFT (GGA-PBE) gives the theoretical powder X-ray diffraction pattern in this record (Cu Kα X-rays).
Intensities are scaled so that the largest is 100.

Structure:
```
data_NdGd2Cu4Ge4
_chemical_formula_sum 'Nd1 Gd2 Cu4 Ge4'
_space_group_name_H-M_alt 'P 1'
_space_group_IT_number 1
_space_group_name_Hall 'P 1'
_cell_length_a 8.0860
_cell_length_b 8.0860
_cell_length_c 8.0860
_cell_angle_alpha 149.60
_cell_angle_beta 130.91
_cell_angle_gamma 58.85
loop_
_atom_site_label
_atom_site_type_symbol
_atom_site_fract_x
_atom_site_fract_y
_atom_site_fract_z
_atom_site_occupancy
Nd1 Nd 0.0000 0.0000 0.0000 1
Gd1 Gd 0.3690 0.8690 0.5000 1
Gd2 Gd 0.6310 0.1310 0.5000 1
Cu1 Cu 0.0203 0.3308 0.6895 1
Cu2 Cu 0.3587 0.6692 0.6895 1
Cu3 Cu 0.6413 0.3308 0.3105 1
Cu4 Cu 0.9797 0.6692 0.3105 1
Ge1 Ge 0.2169 0.2169 0.0000 1
Ge2 Ge 0.3119 0.5000 0.8119 1
Ge3 Ge 0.6881 0.5000 0.1881 1
Ge4 Ge 0.7831 0.7831 0.0000 1
```

The 10 most intense peaks (2θ = 15–90°), most intense first:
two_theta  I_rel
35.74  100
34.66  89
42.64  38
44.84  29
34.52  26
38.34  21
63.60  20
79.65  14
39.23  14
55.98  13